Computed powder diffraction line list
Compound: SnI
Radiation: Cu Kα X-rays
Structure: a structure optimized by DFT (GGA-PBE)
Intensities are scaled so that the largest is 100.

Largest 6 diffraction maxima, sorted by position, 2θ = 10–80°:
two_theta	I (rel.)	(hkl)
22.5	100	1 0 1
28.6	56	1 2 1
29.8	65	0 3 1
35.9	33	2 0 0
42.8	48	1 3 2
47.3	36	2 3 1

```
data_SnI
_cell_length_a 5.004
_cell_length_b 10.158
_cell_length_c 6.428
_cell_angle_alpha 90.00
_cell_angle_beta 90.00
_cell_angle_gamma 90.00
_symmetry_space_group_name_H-M 'I m m 2'
_symmetry_Int_Tables_number 44
_symmetry_space_group_name_Hall 'I 2 -2'
loop_
_atom_site_label
_atom_site_type_symbol
_atom_site_fract_x
_atom_site_fract_y
_atom_site_fract_z
Sn1 Sn 0.000 0.000 0.000
Sn2 Sn 0.000 0.500 0.237
I1 I 0.000 0.194 0.340
```

Computed powder diffraction line list
Compound: Li2Ge4O9
Radiation: Cu Kα X-rays
Structure: a structure optimized by DFT (GGA-PBE)
Intensities are scaled so that the largest is 100.

Largest 6 diffraction maxima, sorted by position, 2θ = 10–80°:
two_theta	I (rel.)	(hkl)
14.4	85	2 0 1
18.9	80	0 1 0
21.8	100	2 0 2
30.7	87	4 1 1
34.9	84	4 1 2
36.1	95	2 1 3

```
data_Li2Ge4O9
_cell_length_a 16.123
_cell_length_b 4.696
_cell_length_c 9.455
_cell_angle_alpha 90.00
_cell_angle_beta 90.00
_cell_angle_gamma 90.00
_symmetry_space_group_name_H-M 'P c a 21'
_symmetry_Int_Tables_number 29
_symmetry_space_group_name_Hall 'P 2c -2ac'
loop_
_atom_site_label
_atom_site_type_symbol
_atom_site_fract_x
_atom_site_fract_y
_atom_site_fract_z
Li1 Li 0.019 0.096 0.000
Li2 Li 0.233 0.940 0.810
Ge1 Ge 0.094 0.475 0.330
Ge2 Ge 0.099 0.498 0.750
Ge3 Ge 0.156 0.982 0.540
Ge4 Ge 0.204 0.487 0.042
O1 O 0.004 0.344 0.817
O2 O 0.069 0.754 0.623
O3 O 0.071 0.199 0.452
O4 O 0.125 0.344 0.158
O5 O 0.145 0.666 0.904
O6 O 0.161 0.206 0.706
O7 O 0.165 0.744 0.379
O8 O 0.237 0.745 0.631
O9 O 0.242 0.207 0.459
```

Computed powder diffraction line list
Compound: HoCo2Si4
Radiation: Cu Kα X-rays
Structure: a structure optimized by DFT (GGA-PBE)
Intensities are scaled so that the largest is 100.

Largest 6 diffraction maxima, sorted by position, 2θ = 10–80°:
two_theta	I (rel.)	(hkl)
15.3	36	1 0 1
25.3	39	2 1 0
38.7	100	2 1 2
39.0	70	5 1 1
41.8	40	7 0 1
46.4	34	0 2 0

```
data_HoCo2Si4
_cell_length_a 16.144
_cell_length_b 3.916
_cell_length_c 6.192
_cell_angle_alpha 90.00
_cell_angle_beta 90.00
_cell_angle_gamma 90.00
_symmetry_space_group_name_H-M 'P n m a'
_symmetry_Int_Tables_number 62
_symmetry_space_group_name_Hall '-P 2ac 2n'
loop_
_atom_site_label
_atom_site_type_symbol
_atom_site_fract_x
_atom_site_fract_y
_atom_site_fract_z
Ho1 Ho 0.141 0.250 0.010
Co1 Co 0.034 0.750 0.747
Co2 Co 0.212 0.250 0.487
Si1 Si 0.027 0.750 0.137
Si2 Si 0.067 0.250 0.527
Si3 Si 0.182 0.750 0.687
Si4 Si 0.200 0.750 0.289
```

Computed powder diffraction line list
Compound: Cs12CdAu5
Radiation: Cu Kα X-rays
Structure: a structure optimized by DFT (GGA-PBE)
Intensities are scaled so that the largest is 100.

Largest 6 diffraction maxima, sorted by position, 2θ = 10–80°:
two_theta	I (rel.)	(hkl)
14.2	38	2 0 0
23.8	100	2 2 2
25.4	67	2 1 3
25.5	71	1 3 2
25.9	58	2 3 1
28.6	37	4 0 0

```
data_Cs12CdAu5
_cell_length_a 12.461
_cell_length_b 12.991
_cell_length_c 13.497
_cell_angle_alpha 90.00
_cell_angle_beta 90.00
_cell_angle_gamma 90.00
_symmetry_space_group_name_H-M 'I m m m'
_symmetry_Int_Tables_number 71
_symmetry_space_group_name_Hall '-I 2 2'
loop_
_atom_site_label
_atom_site_type_symbol
_atom_site_fract_x
_atom_site_fract_y
_atom_site_fract_z
Cs1 Cs 0.000 0.191 0.202
Cs2 Cs 0.187 0.500 0.174
Cs3 Cs 0.196 0.321 0.500
Cd1 Cd 0.000 0.000 0.500
Au1 Au 0.000 0.000 0.000
Au2 Au 0.000 0.385 0.000
Au3 Au 0.000 0.500 0.391
```

Computed powder diffraction line list
Compound: Nb2Rh
Radiation: Cu Kα X-rays
Structure: a structure optimized by DFT (GGA-PBE)
Intensities are scaled so that the largest is 100.

Largest 6 diffraction maxima, sorted by position, 2θ = 10–80°:
two_theta	I (rel.)	(hkl)
37.3	78	4 1 0
38.4	36	3 3 0
39.5	27	2 0 2
40.5	71	2 1 2
41.4	100	4 1 1
42.4	52	3 3 1

```
data_Nb2Rh
_cell_length_a 9.941
_cell_length_b 9.941
_cell_length_c 5.140
_cell_angle_alpha 90.00
_cell_angle_beta 90.00
_cell_angle_gamma 90.00
_symmetry_space_group_name_H-M 'P 42/m n m'
_symmetry_Int_Tables_number 136
_symmetry_space_group_name_Hall '-P 4n 2n'
loop_
_atom_site_label
_atom_site_type_symbol
_atom_site_fract_x
_atom_site_fract_y
_atom_site_fract_z
Nb1 Nb 0.038 0.373 0.000
Nb2 Nb 0.107 0.107 0.000
Nb3 Nb 0.177 0.823 0.248
Rh1 Rh 0.000 0.000 0.500
Rh2 Rh 0.071 0.262 0.500
```

Computed powder diffraction line list
Compound: La2In9Ni3
Radiation: Cu Kα X-rays
Structure: a structure optimized by DFT (GGA-PBE)
Intensities are scaled so that the largest is 100.

Largest 6 diffraction maxima, sorted by position, 2θ = 10–80°:
two_theta	I (rel.)	(hkl)
33.2	11	4 2 -1
33.6	100	3 1 2
34.3	12	0 0 4
37.7	62	6 0 -2
51.4	9	0 4 3
65.5	22	6 4 1

```
data_La2In9Ni3
_cell_length_a 14.345
_cell_length_b 8.257
_cell_length_c 11.509
_cell_angle_alpha 90.00
_cell_angle_beta 114.68
_cell_angle_gamma 90.00
_symmetry_space_group_name_H-M 'C 1 2/c 1'
_symmetry_Int_Tables_number 15
_symmetry_space_group_name_Hall '-C 2yc'
loop_
_atom_site_label
_atom_site_type_symbol
_atom_site_fract_x
_atom_site_fract_y
_atom_site_fract_z
La1 La 0.169 0.083 0.251
In1 In 0.000 0.362 0.250
In2 In 0.060 0.075 0.929
In3 In 0.105 0.412 0.054
In4 In 0.109 0.309 0.748
In5 In 0.229 0.413 0.428
Ni1 Ni 0.083 0.249 0.500
Ni2 Ni 0.250 0.250 0.000
```

Computed powder diffraction line list
Compound: PaFeGe
Radiation: Cu Kα X-rays
Structure: a structure optimized by DFT (GGA-PBE)
Intensities are scaled so that the largest is 100.

Largest 6 diffraction maxima, sorted by position, 2θ = 10–80°:
two_theta	I (rel.)	(hkl)
21.8	29	1 0 -2
33.9	100	1 2 -1
34.8	32	1 1 1
36.9	60	1 1 -3
40.9	34	2 0 0
43.9	36	1 2 1

```
data_PaFeGe
_cell_length_a 5.745
_cell_length_b 5.966
_cell_length_c 8.197
_cell_angle_alpha 90.00
_cell_angle_beta 129.83
_cell_angle_gamma 90.00
_symmetry_space_group_name_H-M 'P 1 21/c 1'
_symmetry_Int_Tables_number 14
_symmetry_space_group_name_Hall '-P 2ybc'
loop_
_atom_site_label
_atom_site_type_symbol
_atom_site_fract_x
_atom_site_fract_y
_atom_site_fract_z
Pa1 Pa 0.206 0.112 0.414
Fe1 Fe 0.305 0.620 0.320
Ge1 Ge 0.277 0.613 0.596
```

Computed powder diffraction line list
Compound: Co4B2Mo
Radiation: Cu Kα X-rays
Structure: a structure optimized by DFT (GGA-PBE)
Intensities are scaled so that the largest is 100.

Largest 6 diffraction maxima, sorted by position, 2θ = 10–80°:
two_theta	I (rel.)	(hkl)
27.6	11	1 1 0
30.5	9	0 2 1
44.3	100	1 3 1
44.6	21	0 6 0
54.9	28	2 0 0
73.4	17	2 6 0

```
data_Co4B2Mo
_cell_length_a 3.346
_cell_length_b 12.186
_cell_length_c 3.341
_cell_angle_alpha 90.00
_cell_angle_beta 90.00
_cell_angle_gamma 90.00
_symmetry_space_group_name_H-M 'C m m m'
_symmetry_Int_Tables_number 65
_symmetry_space_group_name_Hall '-C 2 2'
loop_
_atom_site_label
_atom_site_type_symbol
_atom_site_fract_x
_atom_site_fract_y
_atom_site_fract_z
Co1 Co 0.000 0.175 0.000
Co2 Co 0.000 0.324 0.500
B1 B 0.000 0.427 0.000
Mo1 Mo 0.000 0.000 0.500
```